Starting from a structure optimized by DFT (GGA-PBE), the PXRD pattern of Cu2HgICl3 was calculated for Cu Kα.
Kinematic intensities with the Lorentz-polarization factor, no thermal factor.

Cell and atoms:
```
data_Cu2HgICl3
_space_group_name_H-M_alt 'C 1 m 1'
_space_group_IT_number 8
_space_group_name_Hall 'C -2y'
_cell_length_a 7.835
_cell_length_b 8.035
_cell_length_c 6.095
_cell_angle_alpha 90.00
_cell_angle_beta 94.66
_cell_angle_gamma 90.00
loop_
_atom_site_label
_atom_site_type_symbol
_atom_site_fract_x
_atom_site_fract_y
_atom_site_fract_z
Cu1 Cu 0.000 0.243 0.000
Hg1 Hg 0.237 0.500 0.491
I1 I 0.460 0.000 0.747
Cl1 Cl 0.004 0.000 0.793
Cl2 Cl 0.265 0.254 0.211
```

Top 10 peaks for 10° ≤ 2θ ≤ 90°, by angle:
2θ = 15.83°, I 71.6, (1 1 0); 2θ = 22.20°, I 87.3, (1 1 1); 2θ = 26.11°, I 54.0, (2 0 -1); 2θ = 26.60°, I 100.0, (0 2 1); 2θ = 28.15°, I 37.2, (2 0 1); 2θ = 34.42°, I 28.0, (1 1 2); 2θ = 36.28°, I 21.0, (3 1 0); 2θ = 42.62°, I 47.3, (2 2 -2); 2θ = 45.13°, I 22.1, (0 4 0); 2θ = 45.31°, I 40.9, (2 2 2)


Starting from a structure optimized by DFT (GGA-PBE), the PXRD pattern of FeGe4H24C8S10N2 was calculated for Cu Kα.
Kinematic intensities with the Lorentz-polarization factor, no thermal factor.

Cell and atoms:
```
data_FeGe4H24C8S10N2
_space_group_name_H-M_alt 'I -4'
_space_group_IT_number 82
_space_group_name_Hall 'I -4'
_cell_length_a 9.513
_cell_length_b 9.513
_cell_length_c 14.370
_cell_angle_alpha 90.00
_cell_angle_beta 90.00
_cell_angle_gamma 90.00
loop_
_atom_site_label
_atom_site_type_symbol
_atom_site_fract_x
_atom_site_fract_y
_atom_site_fract_z
Fe1 Fe 0.000 0.000 0.000
Ge1 Ge 0.063 0.680 0.160
H1 H 0.015 0.156 0.603
H2 H 0.030 0.846 0.395
H3 H 0.058 0.287 0.734
H4 H 0.059 0.643 0.646
H5 H 0.096 0.625 0.853
H6 H 0.152 0.163 0.516
C1 C 0.034 0.377 0.689
C2 C 0.087 0.094 0.560
S1 S 0.000 0.500 0.065
S2 S 0.121 0.251 0.248
S3 S 0.145 0.151 0.921
N1 N 0.000 0.000 0.500
N2 N 0.000 0.500 0.750
```

Top 10 peaks for 10° ≤ 2θ ≤ 90°, by angle:
2θ = 11.15°, I 100.0, (1 0 1); 2θ = 18.06°, I 45.6, (1 1 2); 2θ = 21.79°, I 19.4, (1 2 1); 2θ = 22.42°, I 29.7, (2 0 2); 2θ = 28.05°, I 57.8, (1 2 3); 2θ = 32.26°, I 16.6, (1 3 2); 2θ = 39.04°, I 16.2, (1 3 4); 2θ = 42.48°, I 10.8, (2 4 0); 2θ = 46.74°, I 14.2, (3 2 5); 2θ = 48.59°, I 18.1, (3 1 6)